Simulated powder X-ray diffraction pattern of Ca3Nd4HoSe8 for copper Kα, from a GGA-PBE-relaxed structure.

```
16
Lattice="4.164 2.404 6.946 -4.164 2.404 6.946 0.000 -4.809 6.946" Properties=species:S:1:pos:R:3 pbc="T T T"
Ca -2.082 -1.202 6.946
Ca -2.082 1.202 13.892
Ca 0.000 2.404 6.946
Nd -4.164 0.000 10.419
Nd -2.082 1.202 3.473
Nd 2.082 1.202 3.473
Nd 0.000 0.000 10.419
Ho 0.000 0.000 0.000
Se 0.000 -2.427 8.604
Se -2.102 1.214 8.604
Se -2.102 -1.214 12.234
Se 0.000 0.000 5.260
Se 0.000 0.000 15.578
Se 2.102 1.214 8.604
Se 2.102 -1.214 12.234
Se 0.000 2.427 12.234
```

The 10 most intense peaks (15° ≤ 2θ ≤ 90°), by angle:
2θ (°), intensity
25.1, 6
30.1, 100
42.8, 37
43.5, 36
52.7, 7
53.8, 19
62.7, 12
70.6, 16
71.6, 16
79.3, 12